Diffraction record for Sr2LiZrCrO6. The powder XRD pattern is computed, not measured: it uses a DFT-relaxed cell (PBE+U, the Materials Project) and λ = 1.5418 Å (Cu Kα).
Lines closer than 0.1° are merged.

Most intense lines, 5° ≤ 2θ ≤ 70°, low angle first:
two_theta  d (Å)  I (rel.)
18.65  4.756  17
30.25  2.954  100
31.02  2.883  32
31.38  2.851  31
34.88  2.572  24
41.88  2.157  15
44.71  2.027  46
47.60  1.910  15
54.71  1.678  19
55.16  1.665  18
55.64  1.652  8
62.92  1.477  15

Atomic structure:
Cell lengths 5.9199, 5.9199, 5.9199 Å; angles 122.43, 121.72, 86.44 degrees
Fractional positions:
Sr 0.2015 0.2015 0.0000
Sr 0.7985 0.7985 0.0000
Li 0.5000 0.5000 0.0000
Zr 0.5000 0.0000 0.5000
Cr 0.0000 0.5000 0.5000
O 0.2465 0.2582 0.5048
O 0.2465 0.7418 0.9883
O 0.2477 0.7477 0.5000
O 0.7523 0.2523 0.5000
O 0.7535 0.2582 0.0117
O 0.7535 0.7418 0.4952


Diffraction record for Sr2LiZrCrO6. The powder XRD pattern is computed, not measured: it uses a DFT-relaxed cell (PBE+U, the Materials Project) and λ = 1.5418 Å (Cu Kα).
Lines closer than 0.1° are merged.

Most intense lines, 5° ≤ 2θ ≤ 70°, low angle first:
two_theta  d (Å)  I (rel.)
21.39  4.155  23
29.39  3.039  69
31.42  2.847  100
34.27  2.616  16
38.33  2.349  12
43.56  2.078  53
47.65  1.909  35
54.69  1.678  24
55.94  1.644  20
63.31  1.469  14
65.58  1.423  23
67.64  1.385  12

Atomic structure:
Cell lengths 5.6911, 5.6932, 6.1037 Å; angles 117.78, 90.01, 119.95 degrees
Fractional positions:
Sr 0.0000 0.0000 0.0000
Sr 0.4642 0.9285 0.3937
Li 0.6257 0.2511 0.8754
Zr 0.7815 0.5597 0.3449
Cr 0.2642 0.5254 0.7933
O 0.0167 0.5324 0.0478
O 0.0219 0.5248 0.5558
O 0.0264 0.0448 0.5715
O 0.5138 0.0272 0.0436
O 0.5139 0.5297 0.5631
O 0.5174 0.5340 0.0514


Diffraction record for Sr2LiZrCrO6. The powder XRD pattern is computed, not measured: it uses a DFT-relaxed cell (PBE+U, the Materials Project) and λ = 1.5418 Å (Cu Kα).
Lines closer than 0.1° are merged.

Most intense lines, 5° ≤ 2θ ≤ 70°, low angle first:
two_theta  d (Å)  I (rel.)
18.91  4.693  9
21.41  4.151  15
29.43  3.035  85
31.45  2.845  100
34.32  2.613  19
38.36  2.346  10
43.61  2.075  59
47.71  1.906  24
54.75  1.677  30
55.99  1.642  20
63.41  1.467  11
65.64  1.422  22

Atomic structure:
Cell lengths 5.6895, 5.6895, 6.0943 Å; angles 117.79, 117.79, 59.99 degrees
Fractional positions:
Sr 0.0000 0.0000 0.0000
Sr 0.5310 0.5310 0.5932
Li 0.1636 0.1636 0.4907
Zr 0.7899 0.7899 0.3701
Cr 0.3083 0.3083 0.9254
O 0.0544 0.0544 0.6561
O 0.0547 0.5473 0.6570
O 0.0631 0.5444 0.1530
O 0.5444 0.0631 0.1530
O 0.5447 0.5447 0.1547
O 0.5473 0.0547 0.6570


Diffraction record for Li2CrTeO6. The powder XRD pattern is computed, not measured: it uses a DFT-relaxed cell (PBE+U, the Materials Project) and λ = 1.5418 Å (Cu Kα).
Lines closer than 0.1° are merged.

Most intense lines, 5° ≤ 2θ ≤ 70°, low angle first:
two_theta  d (Å)  I (rel.)
19.96  4.449  8
21.22  4.186  19
24.19  3.679  100
33.68  2.661  36
35.26  2.545  22
40.84  2.209  16
43.22  2.093  12
49.56  1.839  19
54.80  1.675  27
56.96  1.617  15
62.28  1.491  14
63.28  1.470  12

Atomic structure:
Cell lengths 5.0905, 5.3339, 7.3710 Å; angles 93.65, 90.00, 90.01 degrees
Fractional positions:
Li 0.0000 0.0000 0.0000
Li 0.9996 0.0094 0.4949
Li 0.4995 0.5094 0.9947
Li 0.5000 0.4997 0.4997
Cr 0.9998 0.4371 0.2812
Cr 0.4998 0.9377 0.7808
Te 0.9996 0.4356 0.7822
Te 0.4999 0.9352 0.2819
O 0.1255 0.4160 0.5340
O 0.1792 0.1109 0.2291
O 0.1946 0.7366 0.8548
O 0.3056 0.2375 0.8528
O 0.3184 0.6127 0.2275
O 0.3743 0.9196 0.5342
O 0.6256 0.9159 0.0339
O 0.6787 0.6105 0.7290
O 0.6947 0.2366 0.3546
O 0.8058 0.7377 0.3531
O 0.8180 0.1127 0.7274
O 0.8744 0.4188 0.0341


Diffraction record for Li4V3Cr3Te2O16. The powder XRD pattern is computed, not measured: it uses a DFT-relaxed cell (PBE+U, the Materials Project) and λ = 1.5418 Å (Cu Kα).
Lines closer than 0.1° are merged.

Most intense lines, 5° ≤ 2θ ≤ 70°, low angle first:
two_theta  d (Å)  I (rel.)
19.15  4.634  100
19.36  4.584  52
24.62  3.616  23
24.73  3.599  16
31.80  2.814  24
31.91  2.804  31
34.85  2.574  19
34.98  2.565  43
35.47  2.531  31
35.96  2.498  24
44.10  2.054  15
62.04  1.496  24

Atomic structure:
Cell lengths 5.9843, 5.9851, 9.9932 Å; angles 89.72, 89.95, 60.93 degrees
Fractional positions:
Li 0.0000 0.0000 0.0000
Li 0.0033 0.0010 0.5000
Li 0.3463 0.3237 0.9075
Li 0.6790 0.6609 0.4100
V 0.1767 0.1667 0.2234
V 0.6639 0.1682 0.2267
V 0.8379 0.3399 0.7269
Cr 0.1763 0.6596 0.2226
Cr 0.3461 0.8266 0.7229
Cr 0.8397 0.8275 0.7232
Te 0.3315 0.3425 0.5036
Te 0.6626 0.6733 0.0025
O 0.0072 0.9944 0.3169
O 0.0109 0.9972 0.8176
O 0.0444 0.4766 0.3480
O 0.1597 0.6831 0.6052
O 0.1646 0.1616 0.6069
O 0.3229 0.8444 0.1030
O 0.3429 0.3335 0.1173
O 0.4976 0.4840 0.3335
O 0.5123 0.0234 0.3380
O 0.5238 0.5059 0.8358
O 0.5284 0.9582 0.8473
O 0.6720 0.6597 0.6184
O 0.7039 0.1582 0.6164
O 0.8399 0.8415 0.1091
O 0.8409 0.3005 0.1138
O 0.9852 0.4939 0.8325


Diffraction record for Li4V2CrTeO12. The powder XRD pattern is computed, not measured: it uses a DFT-relaxed cell (PBE+U, the Materials Project) and λ = 1.5418 Å (Cu Kα).
Lines closer than 0.1° are merged.

Most intense lines, 5° ≤ 2θ ≤ 70°, low angle first:
two_theta  d (Å)  I (rel.)
12.10  7.313  8
21.34  4.163  8
24.31  3.661  100
33.75  2.656  22
33.89  2.645  11
35.45  2.532  12
41.02  2.200  11
49.77  1.832  13
54.95  1.671  18
55.14  1.666  9
57.28  1.609  9
63.77  1.460  8

Atomic structure:
Cell lengths 5.0625, 5.3219, 7.3297 Å; angles 86.11, 89.72, 89.92 degrees
Fractional positions:
Li 0.0000 0.0000 0.0000
Li 0.0047 0.9731 0.5193
Li 0.4932 0.4563 0.9866
Li 0.5051 0.4839 0.5264
V 0.0060 0.4162 0.2251
V 0.4994 0.9260 0.7236
Cr 0.9971 0.4270 0.7274
Te 0.5023 0.9063 0.2223
O 0.1112 0.3868 0.9784
O 0.1810 0.0766 0.2797
O 0.2084 0.6969 0.6621
O 0.3032 0.1892 0.6627
O 0.3225 0.5787 0.2783
O 0.3769 0.8783 0.9708
O 0.6304 0.8806 0.4685
O 0.6909 0.5799 0.7695
O 0.6965 0.2011 0.1432
O 0.7999 0.0777 0.7669
O 0.8114 0.7036 0.1475
O 0.8908 0.3953 0.4536